Starting from a GGA+U-relaxed structure, the X-ray powder pattern of CsV2SbO8 was calculated for Cu Kα (λ = 1.5418 Å).
Lines closer than 0.1° are merged.

Principal peaks in the range 10° ≤ 2θ ≤ 90°, in order of falling intensity:
| h k l | 2theta | I/Imax |
| --- | --- | --- |
| 1 3 -2 | 24.38 | 1000 |
| 0 2 2 | 22.78 | 695 |
| 1 4 -1 | 26.16 | 441 |
| 2 0 -2 | 31.49 | 439 |
| 1 2 1 | 27.72 | 435 |
| 1 2 -2 | 21.36 | 252 |

Structural model:
Cell lengths 5.6823, 17.0205, 10.4484 Å; angles 90.00, 122.74, 90.00 degrees
Space group P2_1/c (No. 14)
Symmetry-distinct sites (fractional):
Cs (0.2367, 0.2260, 0.4981) x4
V (0.3035, 0.6061, 0.5475) x4
V (0.4031, 0.5787, 0.1323) x4
Sb (0.0138, 0.0434, 0.7557) x4
O (0.1615, 0.6805, 0.4300) x4
O (0.1726, 0.6058, 0.9357) x4
O (0.1908, 0.6098, 0.6784) x4
O (0.2063, 0.5153, 0.4526) x4
O (0.2358, 0.5123, 0.1863) x4
O (0.2792, 0.0395, 0.3384) x4
O (0.3232, 0.1223, 0.8518) x4
O (0.4662, 0.6621, 0.2244) x4